Record 1
Computed X-ray powder pattern of LiInSn for Cu Kα X-rays, from a DFT-relaxed cell (PBE, Alexandria).

Peak list (10 most intense, 2θ = 15–90°, in order of rising 2θ)
| (hkl) | d/Å | 2θ/deg | I (rel.) |
| --- | --- | --- | --- |
| 0 0 2 | 4.911 | 18.06 | 27 |
| 0 1 1 | 4.190 | 21.20 | 92 |
| 1 0 0 | 3.206 | 27.83 | 78 |
| 0 1 3 | 2.674 | 33.52 | 100 |
| 1 1 1 | 2.546 | 35.25 | 60 |
| 0 2 0 | 2.316 | 38.88 | 35 |
| 1 1 3 | 2.053 | 44.10 | 86 |
| 1 0 4 | 1.949 | 46.59 | 23 |
| 1 2 0 | 1.878 | 48.48 | 34 |
| 2 1 3 | 1.375 | 68.21 | 26 |

a b c (Å): 3.206 4.633 9.821
angles (deg): 90.00 90.00 90.00
Space group Pmmm (No. 47)
Inequivalent atoms, fractional coordinates:
Li (0.000, 0.000, 0.000) x1
Li (0.000, 0.500, 0.500) x1
In (0.500, 0.000, 0.346) x2
Sn (0.500, 0.500, 0.156) x2

---

Record 2
Computed X-ray powder pattern of LiIn6Sn4 for Cu Kα X-rays, from a DFT-relaxed cell (PBE, Alexandria).

Peak list (10 most intense, 2θ = 15–90°, in order of rising 2θ)
| (hkl) | d/Å | 2θ/deg | I (rel.) |
| --- | --- | --- | --- |
| 0 0 2 | 3.784 | 23.51 | 32 |
| 2 2 -1 | 3.157 | 28.27 | 77 |
| 2 2 -2 | 2.905 | 30.78 | 100 |
| 0 2 2 | 2.850 | 31.39 | 48 |
| 0 0 3 | 2.523 | 35.58 | 52 |
| 2 2 1 | 2.434 | 36.92 | 87 |
| 2 2 -3 | 2.414 | 37.25 | 53 |
| 4 0 -2 | 2.305 | 39.07 | 35 |
| 2 0 -4 | 2.200 | 41.02 | 26 |
| 0 4 0 | 2.165 | 41.71 | 35 |

a b c (Å): 9.222 8.661 8.812
angles (deg): 90.00 120.82 90.00
Space group Cm (No. 8)
Inequivalent atoms, fractional coordinates:
Li (0.000, 0.000, 0.000) x2
In (0.242, 0.266, 0.015) x4
In (0.349, 0.000, 0.336) x2
In (0.355, 0.254, 0.664) x4
In (0.466, 0.500, 0.357) x2
Sn (0.116, 0.311, 0.268) x4
Sn (0.133, 0.500, 0.717) x2
Sn (0.165, 0.000, 0.757) x2

---

Record 3
Computed X-ray powder pattern of Li6InSn3 for Cu Kα X-rays, from a DFT-relaxed cell (PBE, Alexandria).

Peak list (10 most intense, 2θ = 15–90°, in order of rising 2θ)
| (hkl) | d/Å | 2θ/deg | I (rel.) |
| --- | --- | --- | --- |
| 1 1 1 | 5.239 | 16.92 | 100 |
| 0 0 2 | 3.597 | 24.75 | 33 |
| 2 2 1 | 3.375 | 26.40 | 68 |
| 1 3 1 | 3.245 | 27.48 | 94 |
| 3 1 0 | 3.238 | 27.55 | 30 |
| 3 1 1 | 2.953 | 30.27 | 51 |
| 3 1 2 | 2.407 | 37.37 | 40 |
| 1 1 3 | 2.288 | 39.38 | 35 |
| 0 4 2 | 2.267 | 39.76 | 32 |
| 4 2 1 | 2.208 | 40.88 | 58 |

a b c (Å): 10.110 11.681 7.195
angles (deg): 90.00 90.00 90.00
Space group Cmc2_1 (No. 36)
Inequivalent atoms, fractional coordinates:
Li (0.000, 0.038, 0.000) x4
Li (0.000, 0.285, 0.964) x4
Li (0.196, 0.461, 0.894) x8
Li (0.236, 0.169, 0.066) x8
In (0.000, 0.208, 0.337) x4
Sn (0.000, 0.397, 0.619) x4
Sn (0.150, 0.134, 0.695) x8